# 1
Computed powder diffractogram
Compound: RbMn2BiF8
Radiation: copper Kα
Structure: a structure optimized by DFT (PBE+U)
Lines closer than 0.1° are merged.

a b c (Å): 5.3803 5.3966 7.5258
angles (deg): 86.36 86.38 85.34
Space group P-1 (No. 2)
Inequivalent atoms, fractional coordinates:
1 Rb 0.0000 0.0000 0.0000 x1
2 Mn 0.4686 0.4687 0.2256 x2
3 Bi 0.0000 0.0000 0.5000 x1
4 F 0.2175 0.7692 0.7137 x2
5 F 0.2300 0.7813 0.2867 x2
6 F 0.2896 0.2886 0.4531 x2
7 F 0.3395 0.3387 0.9920 x2

Top 10 peaks for 10 to 90 degrees two-theta, sorted by position:
| Position (°2θ) | I_rel |
| --- | --- |
| 11.80 | 30 |
| 16.53 | 55 |
| 19.79 | 49 |
| 22.52 | 100 |
| 24.37 | 77 |
| 28.24 | 89 |
| 29.87 | 62 |
| 34.28 | 40 |
| 42.08 | 34 |
| 45.51 | 36 |



# 2
Computed powder diffractogram
Compound: MnTlBiF6
Radiation: copper Kα
Structure: a structure optimized by DFT (PBE+U)
Lines closer than 0.1° are merged.

a b c (Å): 6.0776 6.0776 11.2955
angles (deg): 90.00 90.00 120.00
Space group P-31c (No. 163)
Inequivalent atoms, fractional coordinates:
1 Mn 0.3333 0.6667 0.2500 x2
2 Tl 0.0000 0.0000 0.0000 x2
3 Bi 0.3333 0.6667 0.7500 x2
4 F 0.0161 0.3869 0.1476 x12

Top 10 peaks for 10 to 90 degrees two-theta, sorted by position:
| Position (°2θ) | I_rel |
| --- | --- |
| 18.60 | 21 |
| 23.10 | 100 |
| 29.39 | 40 |
| 37.71 | 26 |
| 43.76 | 43 |
| 48.52 | 28 |
| 51.56 | 11 |
| 52.13 | 15 |
| 66.12 | 14 |
| 74.01 | 11 |



# 3
Computed powder diffractogram
Compound: NaBiMoF6
Radiation: copper Kα
Structure: a structure optimized by DFT (PBE+U)
Lines closer than 0.1° are merged.

a b c (Å): 6.2990 6.2990 8.5826
angles (deg): 90.00 90.00 120.00
Space group P-31c (No. 163)
Inequivalent atoms, fractional coordinates:
1 Na 0.0000 0.0000 0.0000 x2
2 Bi 0.3333 0.6667 0.2500 x2
3 Mo 0.3333 0.6667 0.7500 x2
4 F 0.0368 0.3634 0.6381 x12

Top 10 peaks for 10 to 90 degrees two-theta, sorted by position:
| Position (°2θ) | I_rel |
| --- | --- |
| 16.25 | 63 |
| 19.28 | 30 |
| 20.70 | 62 |
| 26.43 | 72 |
| 28.34 | 70 |
| 35.36 | 100 |
| 49.02 | 26 |
| 50.17 | 35 |
| 51.54 | 52 |
| 54.84 | 33 |



- What is the formula in the first record?
  RbMn2BiF8



Please write out number 3 again, unchanged.
Computed powder diffractogram
Compound: NaBiMoF6
Radiation: copper Kα
Structure: a structure optimized by DFT (PBE+U)
Lines closer than 0.1° are merged.

a b c (Å): 6.2990 6.2990 8.5826
angles (deg): 90.00 90.00 120.00
Space group P-31c (No. 163)
Inequivalent atoms, fractional coordinates:
1 Na 0.0000 0.0000 0.0000 x2
2 Bi 0.3333 0.6667 0.2500 x2
3 Mo 0.3333 0.6667 0.7500 x2
4 F 0.0368 0.3634 0.6381 x12

Top 10 peaks for 10 to 90 degrees two-theta, sorted by position:
| Position (°2θ) | I_rel |
| --- | --- |
| 16.25 | 63 |
| 19.28 | 30 |
| 20.70 | 62 |
| 26.43 | 72 |
| 28.34 | 70 |
| 35.36 | 100 |
| 49.02 | 26 |
| 50.17 | 35 |
| 51.54 | 52 |
| 54.84 | 33 |